(1)
The following is a theoretical X-ray powder pattern of Al4CuPt. It was derived from a DFT-relaxed cell (PBE, OQMD), using λ = 1.5418 Å (Cu Kα).
No peak broadening, texture or thermal motion is included.

The 10 most intense peaks (10 to 90 degrees two-theta), low angle first:
- 2θ 15.15, rel. 17.9
- 2θ 21.44, rel. 17.6
- 2θ 26.36, rel. 100.0
- 2θ 30.53, rel. 17.4
- 2θ 34.23, rel. 11.8
- 2θ 43.72, rel. 76.9
- 2θ 51.77, rel. 47.1
- 2θ 70.03, rel. 18.8
- 2θ 80.28, rel. 17.0
- 2θ 86.27, rel. 11.0

```
6
Lattice="4.144 0.000 0.000 0.000 4.144 0.000 0.000 0.000 5.847" Properties=species:S:1:pos:R:3 pbc="T T T"
Al 0.000 2.072 1.427
Al 0.000 2.072 4.420
Al 2.072 0.000 1.427
Al 2.072 0.000 4.420
Cu 0.000 0.000 0.000
Pt 2.072 2.072 2.924
```

(2)
The following is a theoretical X-ray powder pattern of RbAlCuS3. It was derived from a DFT-relaxed cell (PBE, OQMD), using λ = 1.5418 Å (Cu Kα).
No peak broadening, texture or thermal motion is included.

The 10 most intense peaks (10 to 90 degrees two-theta), low angle first:
- 2θ 10.58, rel. 39.9
- 2θ 11.70, rel. 37.0
- 2θ 17.69, rel. 31.5
- 2θ 23.52, rel. 27.5
- 2θ 29.17, rel. 24.0
- 2θ 29.59, rel. 31.1
- 2θ 32.08, rel. 100.0
- 2θ 35.73, rel. 41.2
- 2θ 38.85, rel. 36.3
- 2θ 43.22, rel. 28.4

```
24
Lattice="15.127 0.000 0.000 0.000 3.554 0.000 0.000 0.000 10.030" Properties=species:S:1:pos:R:3 pbc="T T T"
Rb 3.590 0.889 0.503
Rb 3.973 2.666 5.518
Rb 11.153 0.889 4.512
Rb 11.537 2.666 9.527
Al 0.361 0.889 3.659
Al 7.202 2.666 8.673
Al 7.925 0.889 1.356
Al 14.766 2.666 6.371
Cu 0.170 2.666 0.968
Cu 7.393 0.889 5.983
Cu 7.734 2.666 4.047
Cu 14.957 0.889 9.061
S 1.218 0.889 5.845
S 1.243 2.666 8.940
S 1.696 2.666 2.717
S 5.867 0.889 7.732
S 6.320 0.889 3.925
S 6.345 2.666 0.830
S 8.782 0.889 9.199
S 8.807 2.666 6.105
S 9.260 2.666 2.298
S 13.430 0.889 7.313
S 13.884 0.889 1.090
S 13.908 2.666 4.185
```

(3)
The following is a theoretical X-ray powder pattern of RbAlCuSe3. It was derived from a DFT-relaxed cell (PBE, OQMD), using λ = 1.5418 Å (Cu Kα).
No peak broadening, texture or thermal motion is included.

The 10 most intense peaks (10 to 90 degrees two-theta), low angle first:
- 2θ 11.13, rel. 61.6
- 2θ 28.36, rel. 61.8
- 2θ 30.48, rel. 100.0
- 2θ 31.61, rel. 29.6
- 2θ 34.07, rel. 25.4
- 2θ 37.30, rel. 17.6
- 2θ 41.16, rel. 35.1
- 2θ 48.60, rel. 24.6
- 2θ 50.20, rel. 24.5
- 2θ 51.99, rel. 20.0

```
24
Lattice="15.905 0.000 0.000 0.000 3.747 0.000 0.000 0.000 10.287" Properties=species:S:1:pos:R:3 pbc="T T T"
Rb 3.736 0.937 0.444
Rb 4.216 2.810 5.587
Rb 11.689 0.937 4.700
Rb 12.169 2.810 9.843
Al 0.285 0.937 3.631
Al 7.667 2.810 8.774
Al 8.238 0.937 1.513
Al 15.620 2.810 6.656
Cu 0.192 2.810 0.881
Cu 7.760 0.937 6.024
Cu 8.145 2.810 4.262
Cu 15.713 0.937 9.406
Se 1.298 2.810 8.988
Se 1.343 0.937 5.936
Se 1.793 2.810 2.729
Se 6.160 0.937 7.872
Se 6.609 2.810 0.792
Se 6.654 0.937 3.845
Se 9.251 2.810 6.442
Se 9.296 0.937 9.494
Se 9.746 2.810 2.414
Se 14.112 0.937 7.558
Se 14.562 2.810 4.351
Se 14.607 0.937 1.298
```

(4)
The following is a theoretical X-ray powder pattern of AlCu2SeS2. It was derived from a DFT-relaxed cell (PBE, OQMD), using λ = 1.5418 Å (Cu Kα).
No peak broadening, texture or thermal motion is included.

The 10 most intense peaks (10 to 90 degrees two-theta), low angle first:
- 2θ 21.16, rel. 10.5
- 2θ 28.65, rel. 42.7
- 2θ 28.75, rel. 100.0
- 2θ 47.73, rel. 44.2
- 2θ 47.87, rel. 45.5
- 2θ 56.62, rel. 11.7
- 2θ 56.75, rel. 36.3
- 2θ 69.91, rel. 13.0
- 2θ 77.38, rel. 9.8
- 2θ 89.24, rel. 9.2

```
12
Lattice="3.304 -5.704 0.000 3.304 5.704 0.000 -2.187 0.000 6.205" Properties=species:S:1:pos:R:3 pbc="T T T"
Al 2.211 4.659 3.103
Al 3.304 -4.659 0.000
Cu 1.131 2.758 6.058
Cu 1.990 0.941 2.941
Cu 0.896 -0.941 6.044
Cu 2.225 -2.758 2.955
Se 4.327 0.968 3.777
Se 5.420 -0.968 0.674
S 1.046 2.831 3.782
S 2.157 0.967 0.675
S 1.064 -0.967 3.778
S 2.140 -2.831 0.680
```

(5)
The following is a theoretical X-ray powder pattern of AlCuSeS. It was derived from a DFT-relaxed cell (PBE, OQMD), using λ = 1.5418 Å (Cu Kα).
No peak broadening, texture or thermal motion is included.

The 10 most intense peaks (10 to 90 degrees two-theta), low angle first:
- 2θ 18.16, rel. 10.7
- 2θ 22.97, rel. 7.7
- 2θ 28.33, rel. 100.0
- 2θ 46.93, rel. 23.5
- 2θ 47.20, rel. 44.3
- 2θ 55.64, rel. 13.8
- 2θ 55.82, rel. 13.6
- 2θ 56.21, rel. 12.4
- 2θ 87.30, rel. 7.2
- 2θ 87.52, rel. 7.2

```
16
Lattice="5.465 0.000 0.000 0.000 5.487 0.000 0.000 0.000 10.835" Properties=species:S:1:pos:R:3 pbc="T T T"
Al 0.000 1.372 1.407
Al 0.000 4.115 4.011
Al 2.733 1.372 9.428
Al 2.733 4.115 6.824
Cu 0.000 1.372 6.925
Cu 0.000 4.115 9.327
Cu 2.733 1.372 3.909
Cu 2.733 4.115 1.508
Se 1.366 0.020 5.417
Se 1.366 5.467 0.000
Se 4.099 2.723 5.417
Se 4.099 2.763 0.000
S 1.309 2.743 2.709
S 1.423 2.743 8.126
S 4.042 0.000 8.126
S 4.156 0.000 2.709
```

(6)
The following is a theoretical X-ray powder pattern of AlCu2SeS2. It was derived from a DFT-relaxed cell (PBE, OQMD), using λ = 1.5418 Å (Cu Kα).
No peak broadening, texture or thermal motion is included.

The 10 most intense peaks (10 to 90 degrees two-theta), low angle first:
- 2θ 16.19, rel. 30.8
- 2θ 28.60, rel. 50.1
- 2θ 28.83, rel. 100.0
- 2θ 29.06, rel. 50.7
- 2θ 47.73, rel. 45.7
- 2θ 47.85, rel. 45.3
- 2θ 48.33, rel. 43.8
- 2θ 56.56, rel. 14.3
- 2θ 56.71, rel. 19.4
- 2θ 57.13, rel. 25.1

```
12
Lattice="3.303 -5.704 0.000 3.303 5.704 0.000 -2.127 0.000 6.145" Properties=species:S:1:pos:R:3 pbc="T T T"
Al 2.240 4.741 3.072
Al 3.303 -4.741 0.000
Cu 1.291 2.947 6.079
Cu 2.275 1.045 3.106
Cu 3.339 -1.045 0.033
Cu 2.354 -2.947 3.007
Se 2.279 0.976 0.730
Se 1.216 -0.976 3.802
S 1.182 2.888 3.814
S 2.245 -2.888 0.742
S 4.480 0.933 3.838
S 5.543 -0.933 0.766
```

(7)
The following is a theoretical X-ray powder pattern of Al2Cu2Se3S. It was derived from a DFT-relaxed cell (PBE, OQMD), using λ = 1.5418 Å (Cu Kα).
No peak broadening, texture or thermal motion is included.

The 10 most intense peaks (10 to 90 degrees two-theta), low angle first:
- 2θ 17.86, rel. 21.3
- 2θ 27.85, rel. 90.7
- 2θ 27.98, rel. 100.0
- 2θ 46.19, rel. 43.9
- 2θ 46.33, rel. 21.5
- 2θ 46.50, rel. 43.1
- 2θ 46.67, rel. 21.7
- 2θ 54.77, rel. 29.4
- 2θ 54.92, rel. 23.9
- 2θ 55.27, rel. 13.6

```
16
Lattice="12.273 0.000 0.000 0.000 5.558 0.000 -2.484 0.000 4.973" Properties=species:S:1:pos:R:3 pbc="T T T"
Al 0.562 0.000 1.887
Al 3.091 2.779 3.086
Al 6.698 2.779 1.887
Al 9.227 0.000 3.086
Cu -0.670 2.903 4.252
Cu 4.323 0.124 0.722
Cu 5.466 0.124 4.252
Cu 10.459 2.903 0.722
Se 0.000 1.417 0.000
Se 1.200 1.425 3.735
Se 2.452 4.204 1.238
Se 6.137 4.196 0.000
Se 8.589 1.425 1.238
Se 7.337 4.204 3.735
S -1.242 4.260 2.487
S 4.894 1.481 2.487
```

(8)
The following is a theoretical X-ray powder pattern of AlCu2Se2S. It was derived from a DFT-relaxed cell (PBE, OQMD), using λ = 1.5418 Å (Cu Kα).
No peak broadening, texture or thermal motion is included.

The 10 most intense peaks (10 to 90 degrees two-theta), low angle first:
- 2θ 28.06, rel. 49.2
- 2θ 28.25, rel. 100.0
- 2θ 28.36, rel. 46.7
- 2θ 46.79, rel. 66.9
- 2θ 46.90, rel. 22.4
- 2θ 47.16, rel. 43.5
- 2θ 55.39, rel. 13.1
- 2θ 55.55, rel. 19.5
- 2θ 55.73, rel. 26.6
- 2θ 68.42, rel. 13.7

```
12
Lattice="3.366 -5.811 0.000 3.366 5.811 0.000 -2.186 0.000 6.295" Properties=species:S:1:pos:R:3 pbc="T T T"
Al 2.273 4.751 3.148
Al 3.366 -4.751 0.000
Cu 1.318 2.909 6.132
Cu 2.174 1.053 3.082
Cu 1.081 -1.053 6.230
Cu 2.411 -2.909 2.985
Se 2.298 0.998 0.700
Se 1.205 -0.998 3.847
Se 4.512 0.987 3.856
Se 5.605 -0.987 0.709
S 1.156 2.913 3.862
S 2.249 -2.913 0.715
```

(9)
The following is a theoretical X-ray powder pattern of Al2Cu2SeS3. It was derived from a DFT-relaxed cell (PBE, OQMD), using λ = 1.5418 Å (Cu Kα).
No peak broadening, texture or thermal motion is included.

The 10 most intense peaks (10 to 90 degrees two-theta), low angle first:
- 2θ 18.41, rel. 34.0
- 2θ 28.71, rel. 93.6
- 2θ 28.85, rel. 100.0
- 2θ 30.07, rel. 17.2
- 2θ 38.24, rel. 16.2
- 2θ 47.69, rel. 43.7
- 2θ 47.83, rel. 22.0
- 2θ 47.97, rel. 43.0
- 2θ 48.20, rel. 20.8
- 2θ 56.60, rel. 38.8

```
16
Lattice="11.910 0.000 0.000 0.000 5.399 0.000 -2.404 0.000 4.823" Properties=species:S:1:pos:R:3 pbc="T T T"
Al 0.595 0.000 1.859
Al 2.955 2.699 2.964
Al 6.550 2.699 1.859
Al 8.910 0.000 2.964
Cu -0.525 2.587 4.190
Cu 4.076 5.287 0.633
Cu 5.430 5.287 4.190
Cu 10.031 2.587 0.633
Se 0.000 4.008 0.000
Se 5.955 1.309 0.000
S -1.202 1.288 2.412
S 2.360 1.314 1.245
S 1.191 4.014 3.579
S 4.753 3.987 2.412
S 7.146 1.314 3.579
S 8.315 4.014 1.245
```

(10)
The following is a theoretical X-ray powder pattern of Al2Cu2Te3S. It was derived from a DFT-relaxed cell (PBE, OQMD), using λ = 1.5418 Å (Cu Kα).
No peak broadening, texture or thermal motion is included.

The 10 most intense peaks (10 to 90 degrees two-theta), low angle first:
- 2θ 16.84, rel. 23.9
- 2θ 26.23, rel. 90.1
- 2θ 26.44, rel. 100.0
- 2θ 30.36, rel. 15.8
- 2θ 43.48, rel. 60.0
- 2θ 43.78, rel. 40.0
- 2θ 44.03, rel. 20.1
- 2θ 51.50, rel. 16.3
- 2θ 51.67, rel. 24.3
- 2θ 51.90, rel. 14.4

```
16
Lattice="12.970 0.000 0.000 0.000 5.885 0.000 -2.614 0.000 5.278" Properties=species:S:1:pos:R:3 pbc="T T T"
Al 0.510 0.000 2.049
Al 3.362 2.943 3.229
Al 6.995 2.943 2.049
Al 9.847 0.000 3.229
Cu -0.718 3.232 4.433
Cu 4.589 0.290 0.846
Cu 5.767 0.290 4.433
Cu 11.074 3.232 0.846
Te 0.000 1.623 0.000
Te 1.245 1.597 4.018
Te 2.627 4.540 1.261
Te 6.485 4.565 0.000
Te 7.730 4.540 4.018
Te 9.112 1.597 1.261
S -1.307 4.562 2.639
S 5.178 1.620 2.639
```

(11)
The following is a theoretical X-ray powder pattern of AlCuTeS. It was derived from a DFT-relaxed cell (PBE, OQMD), using λ = 1.5418 Å (Cu Kα).
No peak broadening, texture or thermal motion is included.

The 10 most intense peaks (10 to 90 degrees two-theta), low angle first:
- 2θ 17.35, rel. 45.8
- 2θ 26.97, rel. 45.5
- 2θ 27.22, rel. 100.0
- 2θ 27.46, rel. 54.7
- 2θ 28.29, rel. 26.3
- 2θ 36.07, rel. 23.0
- 2θ 36.26, rel. 18.4
- 2θ 44.98, rel. 86.3
- 2θ 45.60, rel. 42.6
- 2θ 53.51, rel. 22.7

```
16
Lattice="8.057 0.000 0.000 0.000 8.056 0.000 -3.922 0.000 5.633" Properties=species:S:1:pos:R:3 pbc="T T T"
Al 0.000 0.830 0.000
Al -1.961 7.226 2.816
Al 2.068 3.198 2.816
Al 4.029 4.859 0.000
Cu 3.663 1.190 0.007
Cu 1.702 6.866 2.824
Cu 5.730 2.838 2.824
Cu 7.692 5.218 0.007
Te -0.156 3.037 1.415
Te -2.117 5.020 4.231
Te 1.911 0.991 4.231
Te 3.872 7.065 1.415
S -2.100 0.996 4.226
S -0.138 7.060 1.409
S 3.890 3.032 1.409
S 1.929 5.025 4.226
```

(12)
The following is a theoretical X-ray powder pattern of Al2CuSb. It was derived from a DFT-relaxed cell (PBE, OQMD), using λ = 1.5418 Å (Cu Kα).
No peak broadening, texture or thermal motion is included.

The 10 most intense peaks (10 to 90 degrees two-theta), low angle first:
- 2θ 23.06, rel. 43.1
- 2θ 26.68, rel. 5.7
- 2θ 38.10, rel. 100.0
- 2θ 45.00, rel. 22.1
- 2θ 54.97, rel. 16.7
- 2θ 60.39, rel. 8.9
- 2θ 68.84, rel. 33.1
- 2θ 73.68, rel. 6.5
- 2θ 81.49, rel. 10.3
- 2θ 86.10, rel. 6.6

```
16
Lattice="6.681 0.000 0.000 0.000 6.681 0.000 0.000 0.000 6.681" Properties=species:S:1:pos:R:3 pbc="T T T"
Al 0.000 0.000 0.000
Al 0.000 3.341 3.341
Al 1.670 1.670 1.670
Al 1.670 5.011 5.011
Al 3.341 0.000 3.341
Al 3.341 3.341 0.000
Al 5.011 1.670 5.011
Al 5.011 5.011 1.670
Cu 1.670 1.670 5.011
Cu 1.670 5.011 1.670
Cu 5.011 1.670 1.670
Cu 5.011 5.011 5.011
Sb 0.000 0.000 3.341
Sb 0.000 3.341 0.000
Sb 3.341 0.000 0.000
Sb 3.341 3.341 3.341
```

(13)
The following is a theoretical X-ray powder pattern of ScAl2Cu5. It was derived from a DFT-relaxed cell (PBE, OQMD), using λ = 1.5418 Å (Cu Kα).
No peak broadening, texture or thermal motion is included.

The 10 most intense peaks (10 to 90 degrees two-theta), low angle first:
- 2θ 14.69, rel. 3.3
- 2θ 25.62, rel. 4.9
- 2θ 29.66, rel. 7.9
- 2θ 42.45, rel. 100.0
- 2θ 50.24, rel. 2.1
- 2θ 52.64, rel. 1.9
- 2θ 54.92, rel. 1.9
- 2θ 61.49, rel. 4.7
- 2θ 61.64, rel. 10.4
- 2θ 77.66, rel. 28.4

```
8
Lattice="4.256 0.000 0.000 0.000 4.256 0.000 0.000 0.000 6.032" Properties=species:S:1:pos:R:3 pbc="T T T"
Sc 0.000 0.000 0.000
Al 0.000 0.000 3.016
Al 2.128 2.128 0.000
Cu 0.000 2.128 1.610
Cu 0.000 2.128 4.422
Cu 2.128 0.000 1.610
Cu 2.128 0.000 4.422
Cu 2.128 2.128 3.016
```